This entry pairs a crystal structure of Ho2Co3SiNi12 with its theoretical powder XRD pattern. Radiation: Cu Kα (λ = 1.5418 Å). Structure: DFT lattice parameters and positions (PBE).
No peak broadening, texture or thermal motion is included.

Largest 10 diffraction maxima, by angle, 2θ = 5–70°:
32.1°, d = 2.788 Å, rel. 1000; 35.2°, d = 2.549 Å, rel. 387; 37.3°, d = 2.413 Å, rel. 435; 37.9°, d = 2.371 Å, rel. 784; 40.1°, d = 2.249 Å, rel. 665; 43.5°, d = 2.079 Å, rel. 322; 45.8°, d = 1.982 Å, rel. 527; 47.5°, d = 1.914 Å, rel. 472; 58.4°, d = 1.581 Å, rel. 315; 62.8°, d = 1.479 Å, rel. 418

Crystal structure
Lattice parameters (Å, degrees): 9.014 9.014 9.014 38.32 38.32 38.32
Sites, in units of the cell vectors:
Ho (0.150, 0.150, 0.150)
Ho (0.850, 0.850, 0.850)
Co (0.000, 0.500, 0.500)
Co (0.500, 0.000, 0.500)
Co (0.500, 0.500, 0.000)
Si (0.500, 0.500, 0.500)
Ni (0.082, 0.082, 0.689)
Ni (0.082, 0.689, 0.082)
Ni (0.145, 0.576, 0.576)
Ni (0.311, 0.918, 0.918)
Ni (0.424, 0.424, 0.855)
Ni (0.424, 0.855, 0.424)
Ni (0.576, 0.145, 0.576)
Ni (0.576, 0.576, 0.145)
Ni (0.689, 0.082, 0.082)
Ni (0.855, 0.424, 0.424)
Ni (0.918, 0.311, 0.918)
Ni (0.918, 0.918, 0.311)